Record 1
NaYbCO3F2: simulated X-ray powder pattern (Cu Kα (weighted mean of Kα1 and Kα2)), based on a DFT-relaxed cell (GGA-PBE, Alexandria).

Structure:
a b c (Å): 6.450 7.039 9.352
angles (deg): 90.00 90.00 90.00
Element x y z (fractional)
1 Na 0.179 0.250 0.222
2 Na 0.321 0.750 0.722
3 Na 0.679 0.250 0.278
4 Na 0.821 0.750 0.778
5 Yb 0.008 0.250 0.574
6 Yb 0.492 0.750 0.074
7 Yb 0.508 0.250 0.926
8 Yb 0.992 0.750 0.426
9 C 0.042 0.750 0.062
10 C 0.458 0.250 0.562
11 C 0.542 0.750 0.438
12 C 0.958 0.250 0.938
13 O 0.129 0.750 0.187
14 O 0.155 0.250 0.955
15 O 0.163 0.750 0.952
16 O 0.337 0.250 0.452
17 O 0.345 0.750 0.455
18 O 0.371 0.250 0.687
19 O 0.629 0.750 0.313
20 O 0.655 0.250 0.545
21 O 0.663 0.750 0.548
22 O 0.837 0.250 0.048
23 O 0.845 0.750 0.045
24 O 0.871 0.250 0.813
25 F 0.042 0.560 0.632
26 F 0.042 0.940 0.632
27 F 0.458 0.060 0.132
28 F 0.458 0.440 0.132
29 F 0.542 0.560 0.868
30 F 0.542 0.940 0.868
31 F 0.958 0.060 0.368
32 F 0.958 0.440 0.368

Principal peaks in the range 2θ from 5° to 70°, by angle:
2θ/deg	I/Imax
15.8	22
16.7	100
25.3	50
26.7	38
27.7	25
30.5	23
31.4	36
42.3	23
43.1	42
45.5	20

=====

Record 2
PmNdCF: simulated X-ray powder pattern (Cu Kα (weighted mean of Kα1 and Kα2)), based on a DFT-relaxed cell (GGA-PBE, Alexandria).

Structure:
a b c (Å): 5.208 4.332 4.332
angles (deg): 59.69 90.00 90.00
Element x y z (fractional)
1 Pm 0.000 0.000 0.000
2 Nd 0.500 0.331 0.331
3 C 0.000 0.333 0.333
4 F 0.500 0.999 0.999

Principal peaks in the range 2θ from 5° to 70°, by angle:
2θ/deg	I/Imax
23.7	14
23.8	30
29.4	100
34.4	22
41.7	26
41.9	13
42.3	19
52.0	14
55.2	23
58.6	15

=====

Record 3
Rb3CO3F: simulated X-ray powder pattern (Cu Kα (weighted mean of Kα1 and Kα2)), based on a DFT-relaxed cell (GGA-PBE, Alexandria).

Structure:
a b c (Å): 7.386 7.386 7.386
angles (deg): 65.53 65.53 65.53
Element x y z (fractional)
1 Rb 0.170 0.750 0.330
2 Rb 0.250 0.670 0.830
3 Rb 0.330 0.170 0.750
4 Rb 0.670 0.830 0.250
5 Rb 0.750 0.330 0.170
6 Rb 0.830 0.250 0.670
7 C 0.250 0.250 0.250
8 C 0.750 0.750 0.750
9 O 0.086 0.414 0.250
10 O 0.250 0.086 0.414
11 O 0.414 0.250 0.086
12 O 0.586 0.750 0.914
13 O 0.750 0.914 0.586
14 O 0.914 0.586 0.750
15 F 0.000 0.000 0.000
16 F 0.500 0.500 0.500

Principal peaks in the range 2θ from 5° to 70°, by angle:
2θ/deg	I/Imax
27.1	100
27.8	69
31.0	53
33.1	65
34.7	55
38.5	21
43.4	28
47.6	33
48.6	20
54.7	23

=====

Record 4
RbCOF3: simulated X-ray powder pattern (Cu Kα (weighted mean of Kα1 and Kα2)), based on a DFT-relaxed cell (GGA-PBE, Alexandria).

Structure:
a b c (Å): 5.798 7.510 9.107
angles (deg): 90.00 90.89 90.00
Element x y z (fractional)
1 Rb 0.231 0.159 0.177
2 Rb 0.231 0.341 0.677
3 Rb 0.769 0.659 0.323
4 Rb 0.769 0.841 0.823
5 C 0.236 0.706 0.071
6 C 0.236 0.794 0.571
7 C 0.764 0.206 0.429
8 C 0.764 0.294 0.929
9 O 0.061 0.704 0.587
10 O 0.061 0.796 0.087
11 O 0.939 0.204 0.913
12 O 0.939 0.296 0.413
13 F 0.262 0.617 0.934
14 F 0.262 0.883 0.434
15 F 0.274 0.564 0.176
16 F 0.274 0.936 0.676
17 F 0.456 0.698 0.584
18 F 0.456 0.802 0.084
19 F 0.544 0.198 0.916
20 F 0.544 0.302 0.416
21 F 0.726 0.064 0.324
22 F 0.726 0.436 0.824
23 F 0.738 0.117 0.566
24 F 0.738 0.383 0.066

Principal peaks in the range 2θ from 5° to 70°, by angle:
2θ/deg	I/Imax
24.7	76
25.1	100
25.7	90
27.4	81
30.1	61
30.8	69
39.0	50
40.4	91
41.1	46
41.5	75

=====

- Number 4 is which compound?
  RbCOF3